# 1
Starting from a DFT-relaxed cell (GGA-PBE, the Materials Project), the powder diffraction line list of TiSe2 was computed for CuKα.
Intensities are scaled so that the largest is 100.

```
data_TiSe2
_cell_length_a 3.5443
_cell_length_b 3.5443
_cell_length_c 6.6938
_cell_angle_alpha 90.00
_cell_angle_beta 90.00
_cell_angle_gamma 120.00
_symmetry_space_group_name_H-M 'P -3 m 1'
_symmetry_Int_Tables_number 164
_symmetry_space_group_name_Hall '-P 3 2"'
loop_
_atom_site_label
_atom_site_type_symbol
_atom_site_fract_x
_atom_site_fract_y
_atom_site_fract_z
Ti1 Ti 0.0000 0.0000 0.0000
Se1 Se 0.3333 0.6667 0.2312
```

Peak list (10 most intense, 5 to 70 degrees two-theta, by angle)
Position (°2θ)	d/Å	Rel. int.	(hkl)
13.23	6.694	33	0 0 1
26.63	3.347	15	0 0 2
32.08	2.790	100	0 1 1
39.85	2.262	45	0 1 2
50.57	1.805	30	1 0 3
51.57	1.772	26	1 1 0
54.86	1.673	6	0 0 4
58.98	1.566	10	1 1 2
62.04	1.496	14	2 0 1
67.09	1.395	9	2 0 2

=====

# 2
Starting from a DFT-relaxed cell (GGA-PBE, the Materials Project), the powder diffraction line list of TiTl4Se4 was computed for CuKα.
Intensities are scaled so that the largest is 100.

```
data_TiTl4Se4
_cell_length_a 8.7813
_cell_length_b 8.6932
_cell_length_c 16.3124
_cell_angle_alpha 90.00
_cell_angle_beta 104.88
_cell_angle_gamma 90.00
_symmetry_space_group_name_H-M 'P 1 21/c 1'
_symmetry_Int_Tables_number 14
loop_
_symmetry_equiv_pos_as_xyz
'x,y,z'
'-x,-y,-z'
'-x,y+1/2,-z+1/2'
'x,-y+1/2,z+1/2'
loop_
_atom_site_label
_atom_site_type_symbol
_atom_site_fract_x
_atom_site_fract_y
_atom_site_fract_z
Ti1 Ti 0.2086 0.1115 0.3772
Tl1 Tl 0.0298 0.5062 0.6331
Tl2 Tl 0.1806 0.1013 0.6231
Tl3 Tl 0.3879 0.7193 0.3617
Tl4 Tl 0.4110 0.6827 0.6098
Se1 Se 0.0489 0.6687 0.2135
Se2 Se 0.1821 0.6110 0.9618
Se3 Se 0.2974 0.1680 0.9644
Se4 Se 0.3891 0.0530 0.2929
```

Peak list (10 most intense, 5 to 70 degrees two-theta, by angle)
Position (°2θ)	d/Å	Rel. int.	(hkl)
22.56	3.941	100	0 0 4
22.99	3.868	85	1 2 0
23.33	3.813	47	2 1 0
25.26	3.525	51	2 1 1
26.62	3.349	79	2 0 -4
28.57	3.125	84	2 1 -4
30.42	2.938	59	1 2 -4
32.37	2.765	61	3 1 -1
32.67	2.741	71	1 3 -1
36.37	2.470	42	2 1 4

=====

# 3
Starting from a DFT-relaxed cell (GGA-PBE, the Materials Project), the powder diffraction line list of U8TiSe17 was computed for CuKα.
Intensities are scaled so that the largest is 100.

```
data_U8TiSe17
_cell_length_a 13.8914
_cell_length_b 8.8331
_cell_length_c 10.8478
_cell_angle_alpha 90.00
_cell_angle_beta 101.20
_cell_angle_gamma 90.00
_symmetry_space_group_name_H-M 'C 1 2/m 1'
_symmetry_Int_Tables_number 12
loop_
_symmetry_equiv_pos_as_xyz
'x,y,z'
'-x,-y,-z'
'-x,y,-z'
'x,-y,z'
'x+1/2,y+1/2,z'
'-x+1/2,-y+1/2,-z'
'-x+1/2,y+1/2,-z'
'x+1/2,-y+1/2,z'
loop_
_atom_site_label
_atom_site_type_symbol
_atom_site_fract_x
_atom_site_fract_y
_atom_site_fract_z
U1 U 0.0597 0.2408 0.2016
U2 U 0.1814 0.5000 0.5133
U3 U 0.2030 0.0000 0.9602
Ti1 Ti 0.0000 0.0000 0.5000
Se1 Se 0.0000 0.0000 0.0000
Se2 Se 0.0213 0.5000 0.6687
Se3 Se 0.0623 0.0000 0.7297
Se4 Se 0.1269 0.3064 0.9637
Se5 Se 0.1326 0.1922 0.4731
Se6 Se 0.1981 0.5000 0.2530
Se7 Se 0.2130 0.0000 0.2254
```

Peak list (10 most intense, 5 to 70 degrees two-theta, by angle)
Position (°2θ)	d/Å	Rel. int.	(hkl)
24.01	3.706	100	2 2 0
24.59	3.621	70	2 2 -1
33.01	2.713	61	4 2 -1
33.70	2.660	99	0 0 4
33.89	2.645	64	4 0 2
35.57	2.524	55	4 2 1
37.07	2.425	62	5 1 1
38.70	2.327	82	4 2 -3
40.87	2.208	65	0 4 0
47.46	1.916	61	2 4 2

=====

# 4
Starting from a DFT-relaxed cell (GGA-PBE, the Materials Project), the powder diffraction line list of TiVSe4 was computed for CuKα.
Intensities are scaled so that the largest is 100.

```
data_TiVSe4
_cell_length_a 5.9982
_cell_length_b 3.4678
_cell_length_c 6.4349
_cell_angle_alpha 90.00
_cell_angle_beta 90.22
_cell_angle_gamma 90.00
_symmetry_space_group_name_H-M 'P 1 2/m 1'
_symmetry_Int_Tables_number 10
loop_
_symmetry_equiv_pos_as_xyz
'x,y,z'
'-x,-y,-z'
'-x,y,-z'
'x,-y,z'
loop_
_atom_site_label
_atom_site_type_symbol
_atom_site_fract_x
_atom_site_fract_y
_atom_site_fract_z
Ti1 Ti 0.0000 0.0000 0.0000
V1 V 0.5000 0.5000 0.0000
Se1 Se 0.1706 0.5000 0.2451
Se2 Se 0.3375 0.0000 0.7587
```

Peak list (10 most intense, 5 to 70 degrees two-theta, by angle)
Position (°2θ)	d/Å	Rel. int.	(hkl)
13.76	6.435	24	0 0 1
27.73	3.217	16	0 0 2
32.93	2.720	100	2 0 -1
33.00	2.714	7	2 0 1
41.12	2.195	39	1 1 2
52.37	1.747	18	1 1 -3
52.53	1.742	11	2 0 3
52.84	1.733	27	0 2 0
60.65	1.527	7	0 2 2
63.64	1.462	11	2 2 -1

=====

# 5
Starting from a DFT-relaxed cell (GGA-PBE, the Materials Project), the powder diffraction line list of Tl5Se3 was computed for CuKα.
Intensities are scaled so that the largest is 100.

```
data_Tl5Se3
_cell_length_a 8.4895
_cell_length_b 8.4895
_cell_length_c 13.5918
_cell_angle_alpha 90.00
_cell_angle_beta 90.00
_cell_angle_gamma 90.00
_symmetry_space_group_name_H-M 'P 4/n'
_symmetry_Int_Tables_number 85
loop_
_symmetry_equiv_pos_as_xyz
'x,y,z'
'-x,-y,-z'
'-y+1/2,x,z'
'y+1/2,-x,-z'
'-x+1/2,-y+1/2,z'
'x+1/2,y+1/2,-z'
'y,-x+1/2,z'
'-y,x+1/2,-z'
loop_
_atom_site_label
_atom_site_type_symbol
_atom_site_fract_x
_atom_site_fract_y
_atom_site_fract_z
Tl1 Tl 0.0744 0.8714 0.0987
Tl2 Tl 0.0813 0.6246 0.6002
Tl3 Tl 0.2500 0.2500 0.2090
Tl4 Tl 0.2500 0.2500 0.7084
Se1 Se 0.0693 0.5994 0.2535
Se2 Se 0.2500 0.2500 0.4985
Se3 Se 0.2500 0.2500 0.9843
```

Peak list (10 most intense, 5 to 70 degrees two-theta, by angle)
Position (°2θ)	d/Å	Rel. int.	(hkl)
24.34	3.657	19	1 2 1
26.90	3.314	18	2 1 2
30.22	2.957	14	1 1 4
30.72	2.910	100	2 1 3
33.38	2.685	52	1 3 0
47.92	1.898	10	4 2 0
52.94	1.730	15	1 2 7
55.81	1.647	13	5 0 2
59.67	1.550	10	4 0 6
62.37	1.489	11	5 2 3

=====

# 6
Starting from a DFT-relaxed cell (GGA-PBE, the Materials Project), the powder diffraction line list of Tl5Se3 was computed for CuKα.
Intensities are scaled so that the largest is 100.

```
data_Tl5Se3
_cell_length_a 8.5945
_cell_length_b 8.5945
_cell_length_c 12.8188
_cell_angle_alpha 90.00
_cell_angle_beta 90.00
_cell_angle_gamma 90.00
_symmetry_space_group_name_H-M 'P 4/n c c'
_symmetry_Int_Tables_number 130
loop_
_symmetry_equiv_pos_as_xyz
'x,y,z'
'-x,-y,-z'
'-y+1/2,x,z'
'y+1/2,-x,-z'
'-x+1/2,-y+1/2,z'
'x+1/2,y+1/2,-z'
'y,-x+1/2,z'
'-y,x+1/2,-z'
'x+1/2,-y,-z+1/2'
'-x+1/2,y,z+1/2'
'-y,-x,-z+1/2'
'y,x,z+1/2'
'-x,y+1/2,-z+1/2'
'x,-y+1/2,z+1/2'
'y+1/2,x+1/2,-z+1/2'
'-y+1/2,-x+1/2,z+1/2'
loop_
_atom_site_label
_atom_site_type_symbol
_atom_site_fract_x
_atom_site_fract_y
_atom_site_fract_z
Tl1 Tl 0.0950 0.6031 0.0978
Tl2 Tl 0.2500 0.2500 0.2443
Se1 Se 0.0919 0.5919 0.7500
Se2 Se 0.2500 0.2500 0.4973
```

Peak list (10 most intense, 5 to 70 degrees two-theta, by angle)
Position (°2θ)	d/Å	Rel. int.	(hkl)
24.17	3.682	20	2 1 1
31.30	2.858	100	2 1 3
31.56	2.835	19	1 1 4
32.96	2.718	56	3 1 0
34.93	2.569	12	2 0 4
42.31	2.136	11	0 0 6
48.60	1.873	13	4 1 3
51.19	1.785	11	4 0 4
54.64	1.680	14	3 1 6
62.08	1.495	21	5 2 3

=====

# 7
Starting from a DFT-relaxed cell (GGA-PBE, the Materials Project), the powder diffraction line list of TlSe was computed for CuKα.
Intensities are scaled so that the largest is 100.

```
data_TlSe
_cell_length_a 8.2415
_cell_length_b 8.2415
_cell_length_c 7.1833
_cell_angle_alpha 90.00
_cell_angle_beta 90.00
_cell_angle_gamma 90.00
_symmetry_space_group_name_H-M 'I 4/m c m'
_symmetry_Int_Tables_number 140
_symmetry_space_group_name_Hall '-I 4 2c'
loop_
_atom_site_label
_atom_site_type_symbol
_atom_site_fract_x
_atom_site_fract_y
_atom_site_fract_z
Tl1 Tl 0.0000 0.0000 0.2500
Tl2 Tl 0.0000 0.5000 0.2500
Se1 Se 0.1766 0.3234 0.0000
```

Peak list (10 most intense, 5 to 70 degrees two-theta, by angle)
Position (°2θ)	d/Å	Rel. int.	(hkl)
21.57	4.121	53	2 0 0
27.19	3.279	18	2 1 1
30.68	2.914	52	2 2 0
33.09	2.708	100	2 0 2
39.84	2.263	29	2 2 2
43.95	2.060	12	4 0 0
49.46	1.843	24	4 2 0
51.11	1.787	24	4 0 2
56.09	1.640	26	4 2 2
60.57	1.529	15	2 2 4

=====

# 8
Starting from a DFT-relaxed cell (GGA-PBE, the Materials Project), the powder diffraction line list of TlSe was computed for CuKα.
Intensities are scaled so that the largest is 100.

```
data_TlSe
_cell_length_a 3.7527
_cell_length_b 3.7527
_cell_length_c 3.7527
_cell_angle_alpha 90.00
_cell_angle_beta 90.00
_cell_angle_gamma 90.00
_symmetry_space_group_name_H-M 'P m -3 m'
_symmetry_Int_Tables_number 221
_symmetry_space_group_name_Hall '-P 4 2 3'
loop_
_atom_site_label
_atom_site_type_symbol
_atom_site_fract_x
_atom_site_fract_y
_atom_site_fract_z
Tl1 Tl 0.0000 0.0000 0.0000
Se1 Se 0.5000 0.5000 0.5000
```

Peak list (6 most intense, 5 to 70 degrees two-theta, by angle)
Position (°2θ)	d/Å	Rel. int.	(hkl)
23.71	3.753	22	1 0 0
33.78	2.654	100	1 1 0
41.69	2.167	7	1 1 1
48.52	1.876	18	2 0 0
54.69	1.678	10	2 1 0
60.42	1.532	38	2 1 1

=====

# 9
Starting from a DFT-relaxed cell (GGA-PBE, the Materials Project), the powder diffraction line list of TmTlSe2 was computed for CuKα.
Intensities are scaled so that the largest is 100.

```
data_TmTlSe2
_cell_length_a 4.1396
_cell_length_b 4.1396
_cell_length_c 23.4267
_cell_angle_alpha 90.00
_cell_angle_beta 90.00
_cell_angle_gamma 120.00
_symmetry_space_group_name_H-M 'R -3 m'
_symmetry_Int_Tables_number 166
_symmetry_space_group_name_Hall '-R 3 2"'
loop_
_atom_site_label
_atom_site_type_symbol
_atom_site_fract_x
_atom_site_fract_y
_atom_site_fract_z
Tm1 Tm 0.0000 0.0000 0.0000
Tl1 Tl 0.0000 0.0000 0.5000
Se1 Se 0.0000 0.0000 0.2663
```

Peak list (10 most intense, 5 to 70 degrees two-theta, by angle)
Position (°2θ)	d/Å	Rel. int.	(hkl)
22.78	3.904	13	0 0 6
25.99	3.428	22	0 1 2
29.21	3.058	100	1 0 4
39.74	2.268	38	0 1 8
43.73	2.070	35	1 1 0
46.30	1.961	9	1 0 10
49.86	1.829	11	1 1 6
53.46	1.714	19	0 2 4
60.56	1.529	11	2 0 8
65.75	1.420	14	1 1 12

=====

# 10
Starting from a DFT-relaxed cell (GGA-PBE, the Materials Project), the powder diffraction line list of Tl3VSe4 was computed for CuKα.
Intensities are scaled so that the largest is 100.

```
data_Tl3VSe4
_cell_length_a 7.9164
_cell_length_b 7.9164
_cell_length_c 7.9164
_cell_angle_alpha 90.00
_cell_angle_beta 90.00
_cell_angle_gamma 90.00
_symmetry_space_group_name_H-M 'I -4 3 m'
_symmetry_Int_Tables_number 217
_symmetry_space_group_name_Hall 'I -4 2 3'
loop_
_atom_site_label
_atom_site_type_symbol
_atom_site_fract_x
_atom_site_fract_y
_atom_site_fract_z
Tl1 Tl 0.0000 0.0000 0.5000
V1 V 0.0000 0.0000 0.0000
Se1 Se 0.1674 0.1674 0.8326
```

Peak list (10 most intense, 5 to 70 degrees two-theta, by angle)
Position (°2θ)	d/Å	Rel. int.	(hkl)
22.46	3.958	53	2 0 0
27.60	3.232	43	2 1 1
31.98	2.799	100	2 2 0
35.87	2.503	26	3 1 0
39.43	2.285	29	2 2 2
45.85	1.979	9	4 0 0
48.81	1.866	11	4 1 1
51.64	1.770	52	4 2 0
56.99	1.616	30	4 2 2
66.85	1.399	12	4 4 0

=====

# 11
Starting from a DFT-relaxed cell (GGA-PBE, the Materials Project), the powder diffraction line list of ZrTl4Se4 was computed for CuKα.
Intensities are scaled so that the largest is 100.

```
data_ZrTl4Se4
_cell_length_a 9.5658
_cell_length_b 9.5685
_cell_length_c 16.4534
_cell_angle_alpha 104.48
_cell_angle_beta 105.11
_cell_angle_gamma 90.03
_symmetry_space_group_name_H-M 'P -1'
_symmetry_Int_Tables_number 2
loop_
_symmetry_equiv_pos_as_xyz
'x,y,z'
'-x,-y,-z'
loop_
_atom_site_label
_atom_site_type_symbol
_atom_site_fract_x
_atom_site_fract_y
_atom_site_fract_z
Zr1 Zr 0.0000 0.0000 0.0000
Zr2 Zr 0.0168 0.1865 0.5997
Zr3 Zr 0.1776 0.8054 0.1998
Tl1 Tl 0.0472 0.5825 0.8008
Tl2 Tl 0.2157 0.2183 0.4002
Tl3 Tl 0.2199 0.5864 0.5946
Tl4 Tl 0.2217 0.9558 0.7961
Tl5 Tl 0.2251 0.3975 0.9926
Tl6 Tl 0.3782 0.5957 0.3889
Tl7 Tl 0.3891 0.2000 0.1916
Tl8 Tl 0.3923 0.7820 0.0018
Tl9 Tl 0.4112 0.9670 0.5993
Tl10 Tl 0.4197 0.4024 0.7994
Se1 Se 0.0634 0.5440 0.4016
Se2 Se 0.0698 0.8963 0.5791
Se3 Se 0.0739 0.7292 0.0194
Se4 Se 0.0904 0.0805 0.1799
Se5 Se 0.0955 0.2428 0.7780
Se6 Se 0.2450 0.5317 0.1937
Se7 Se 0.2551 0.8849 0.3791
Se8 Se 0.2747 0.0724 0.9969
Se9 Se 0.2897 0.2609 0.6039
Se10 Se 0.4478 0.8800 0.1978
```

Peak list (10 most intense, 5 to 70 degrees two-theta, by angle)
Position (°2θ)	d/Å	Rel. int.	(hkl)
24.75	3.597	22	1 2 1
25.26	3.525	19	2 -1 2
25.49	3.495	19	-2 1 3
26.04	3.422	20	1 2 -4
29.10	3.068	60	0 0 5
29.55	3.023	100	3 1 -2
40.99	2.202	19	3 1 3
42.28	2.137	30	2 4 -3
42.62	2.121	20	1 -3 6
42.92	2.107	17	3 1 -7